Entry 1:
TbSnSe: theoretical powder X-ray diffraction pattern (Cu Kα (weighted mean of Kα1 and Kα2)), based on a cell relaxed with GGA-PBE.

Cell and atoms:
```
6
Lattice="-2.0457 2.0457 9.2432 2.0457 -2.0457 9.2432 2.0457 2.0457 -9.2432" Properties=species:S:1:pos:R:3 pbc="T T T"
Tb 0.0000 0.0000 2.8090
Tb 0.0000 0.0000 15.6774
Sn 2.0457 0.0000 0.0000
Sn 0.0000 2.0457 0.0000
Se 0.0000 0.0000 5.7663
Se 0.0000 0.0000 12.7201
```

The 6 most intense peaks (10 to 80 degrees two-theta), by angle:
28.98°, I 61; 32.43°, I 100; 36.65°, I 80; 40.66°, I 32; 44.28°, I 51; 53.79°, I 44


Entry 2:
KZrZn2F8: theoretical powder X-ray diffraction pattern (Cu Kα (weighted mean of Kα1 and Kα2)), based on a cell relaxed with GGA-PBE.

Cell and atoms:
```
12
Lattice="2.6598 1.5356 8.1907 -2.6598 1.5356 8.1907 0.0000 -3.0713 8.1907" Properties=species:S:1:pos:R:3 pbc="T T T"
K 0.0000 0.0000 0.0000
Zr 0.0000 0.0000 12.2861
Zn 0.0000 0.0000 6.2997
Zn 0.0000 0.0000 18.2725
F -0.8780 -1.4295 11.0360
F -1.6769 0.0456 13.5361
F 0.0000 0.0000 8.1718
F -0.7990 1.4751 11.0360
F 0.7990 -1.4751 13.5361
F 0.0000 0.0000 16.4004
F 1.6769 -0.0456 11.0360
F 0.8780 1.4295 13.5361
```

The 6 most intense peaks (10 to 80 degrees two-theta), by angle:
24.15°, I 100; 33.70°, I 41; 35.11°, I 31; 41.89°, I 20; 54.80°, I 19; 56.74°, I 29


Entry 3:
SnI: theoretical powder X-ray diffraction pattern (Cu Kα (weighted mean of Kα1 and Kα2)), based on a cell relaxed with GGA-PBE.

Cell and atoms:
```
4
Lattice="4.2302 -2.4434 0.0000 4.2302 2.4434 0.0000 -0.2746 0.0000 9.5316" Properties=species:S:1:pos:R:3 pbc="T T T"
Sn 1.4165 0.0000 0.3777
Sn 6.7694 0.0000 9.1539
I 1.4233 -0.0236 3.1197
I 6.7626 -0.0236 6.4119
```

The 6 most intense peaks (10 to 80 degrees two-theta), by angle:
21.00°, I 100; 22.87°, I 89; 23.12°, I 31; 23.26°, I 32; 28.08°, I 50; 36.80°, I 93